Record 1
The following is a calculated XRD peak list of LaNpH2O6. It was derived from a crystal structure in Alexandria, relaxed with PBE, using Cu Kα, 1.54184 Å.
Peak positions follow from Bragg's law for the DFT cell and can differ from measured ones.

The 12 most intense peaks (15 to 90 degrees two-theta), in order of falling intensity:
d 4.276, rel. 100.0, hkl 0 1 1
d 3.920, rel. 80.6, hkl 1 0 1
d 3.970, rel. 80.2, hkl 1 1 0
d 3.176, rel. 47.8, hkl 1 0 -1
d 3.087, rel. 43.7, hkl 0 1 -1
d 2.911, rel. 38.1, hkl 1 1 2
d 2.869, rel. 30.2, hkl 1 -1 0
d 1.654, rel. 25.1, hkl 0 3 1
d 2.700, rel. 22.1, hkl 1 2 1
d 2.564, rel. 20.9, hkl 2 1 1
d 2.296, rel. 20.7, hkl 2 0 0
d 2.355, rel. 18.7, hkl 0 2 0

Atomic structure:
abc: 5.1521 5.4467 6.0271
angles: 65.61 69.89 65.76
Space group P-1 (No. 2)
One atom of each set of equivalent atoms:
La (0.0000, 0.0000, 0.0000)
Np (0.5000, 0.5000, 0.5000)
H (0.0795, 0.3011, 0.2782)
O (0.0879, 0.7335, 0.7337)
O (0.2704, 0.5544, 0.2794)
O (0.4164, 0.1530, 0.7174)

***

Record 2
The following is a calculated XRD peak list of Ba3GaSn6Hg2. It was derived from a crystal structure in Alexandria, relaxed with PBE, using Cu Kα, 1.54184 Å.
Peak positions follow from Bragg's law for the DFT cell and can differ from measured ones.

The 12 most intense peaks (15 to 90 degrees two-theta), in order of falling intensity:
d 2.791, rel. 100.0, hkl 1 1 2
d 2.751, rel. 99.1, hkl 0 2 1
d 2.989, rel. 80.3, hkl 0 1 3
d 3.291, rel. 42.3, hkl 1 1 0
d 1.836, rel. 38.8, hkl 2 1 3
d 1.645, rel. 37.5, hkl 2 2 0
d 1.787, rel. 27.3, hkl 0 3 2
d 3.510, rel. 23.0, hkl 0 0 3
d 1.934, rel. 20.2, hkl 2 0 4
d 1.694, rel. 19.3, hkl 0 2 5
d 1.441, rel. 18.3, hkl 3 1 3
d 2.850, rel. 17.8, hkl 2 0 0

Atomic structure:
abc: 6.5817 6.5817 10.5314
angles: 90.00 90.00 120.00
Space group P-3m1 (No. 164)
One atom of each set of equivalent atoms:
Ba (0.0000, 0.0000, 0.0000)
Ba (0.3333, 0.6667, 0.5923)
Ga (0.0000, 0.0000, 0.5000)
Sn (0.1679, 0.3358, 0.2830)
Hg (0.3333, 0.6667, 0.9465)

***

Record 3
The following is a calculated XRD peak list of Ce5InTe4. It was derived from a crystal structure in Alexandria, relaxed with PBE, using Cu Kα, 1.54184 Å.
Peak positions follow from Bragg's law for the DFT cell and can differ from measured ones.

The 8 most intense peaks (15 to 90 degrees two-theta), in order of falling intensity:
d 3.181, rel. 100.0, hkl 3 1 0
d 2.250, rel. 76.4, hkl 3 1 2
d 1.423, rel. 35.2, hkl 6 2 2
d 1.837, rel. 27.4, hkl 2 4 2
d 1.299, rel. 25.8, hkl 5 5 2
d 1.591, rel. 12.8, hkl 6 2 0
d 1.125, rel. 8.4, hkl 6 2 4
d 3.674, rel. 0.8, hkl 1 2 1

Atomic structure:
abc: 10.0650 10.0650 6.3568
angles: 90.00 90.00 90.00
Space group I4/m (No. 87)
One atom of each set of equivalent atoms:
Ce (0.0000, 0.0000, 0.0000)
Ce (0.1006, 0.6995, 0.5000)
In (0.0000, 0.0000, 0.5000)
Te (0.0998, 0.6998, 0.0000)

***

Record 4
The following is a calculated XRD peak list of ErThNi2Ge2. It was derived from a crystal structure in Alexandria, relaxed with PBE, using Cu Kα, 1.54184 Å.
Peak positions follow from Bragg's law for the DFT cell and can differ from measured ones.

The 12 most intense peaks (15 to 90 degrees two-theta), in order of falling intensity:
d 2.620, rel. 100.0, hkl 0 1 2
d 2.088, rel. 42.0, hkl 1 1 0
d 3.617, rel. 25.0, hkl 1 0 0
d 1.633, rel. 24.1, hkl 2 0 2
d 1.405, rel. 22.0, hkl 1 1 4
d 1.286, rel. 21.7, hkl 1 2 2
d 1.900, rel. 9.9, hkl 0 0 4
d 1.196, rel. 8.1, hkl 0 1 6
d 1.206, rel. 7.0, hkl 3 0 0
d 1.682, rel. 6.6, hkl 1 0 4
d 1.809, rel. 3.9, hkl 2 0 0
d 1.110, rel. 3.8, hkl 2 1 4

Atomic structure:
abc: 4.1768 4.1768 7.6009
angles: 90.00 90.00 120.00
Space group P-3m1 (No. 164)
One atom of each set of equivalent atoms:
Er (0.0000, 0.0000, 0.0000)
Th (0.0000, 0.0000, 0.5000)
Ni (0.3333, 0.6667, 0.2329)
Ge (0.3333, 0.6667, 0.7620)

***

Record 5
The following is a calculated XRD peak list of Nd2Sm4Sb3N2. It was derived from a crystal structure in Alexandria, relaxed with PBE, using Cu Kα, 1.54184 Å.
Peak positions follow from Bragg's law for the DFT cell and can differ from measured ones.

The 12 most intense peaks (15 to 90 degrees two-theta), in order of falling intensity:
d 2.656, rel. 100.0, hkl 1 1 6
d 2.382, rel. 51.7, hkl 2 0 0
d 3.260, rel. 43.7, hkl 1 1 2
d 1.423, rel. 29.2, hkl 3 1 6
d 1.685, rel. 17.7, hkl 2 2 0
d 3.237, rel. 16.7, hkl 0 0 8
d 2.989, rel. 16.0, hkl 1 1 4
d 1.919, rel. 15.3, hkl 2 0 8
d 1.753, rel. 13.0, hkl 2 0 10
d 1.599, rel. 10.9, hkl 2 0 12
d 2.922, rel. 10.6, hkl 1 0 7
d 2.590, rel. 10.6, hkl 0 0 10

Atomic structure:
abc: 4.7645 4.7645 25.8971
angles: 90.00 90.00 90.00
Space group I4/mmm (No. 139)
One atom of each set of equivalent atoms:
Nd (0.0000, 0.0000, 0.1931)
Sm (0.0000, 0.5000, 0.0826)
Sb (0.0000, 0.0000, 0.3223)
Sb (0.0000, 0.0000, 0.5000)
N (0.0000, 0.0000, 0.1023)

***

Record 6
The following is a calculated XRD peak list of DyYSb2O8. It was derived from a crystal structure in Alexandria, relaxed with PBE, using Cu Kα, 1.54184 Å.
Peak positions follow from Bragg's law for the DFT cell and can differ from measured ones.

The 12 most intense peaks (15 to 90 degrees two-theta), in order of falling intensity:
d 3.100, rel. 100.0, hkl 1 1 2
d 1.919, rel. 31.9, hkl 2 0 4
d 1.595, rel. 27.8, hkl 1 3 2
d 2.631, rel. 19.1, hkl 2 0 0
d 1.671, rel. 16.2, hkl 1 1 6
d 1.860, rel. 15.3, hkl 2 2 0
d 2.805, rel. 13.1, hkl 0 0 4
d 1.243, rel. 11.9, hkl 3 1 6
d 1.550, rel. 10.4, hkl 2 2 4
d 1.237, rel. 6.3, hkl 2 0 8
d 1.211, rel. 5.4, hkl 3 3 2
d 1.191, rel. 4.7, hkl 4 0 4

Atomic structure:
abc: 5.2614 5.2614 11.2182
angles: 90.00 90.00 90.00
Space group I-4 (No. 82)
One atom of each set of equivalent atoms:
Dy (0.0000, 0.0000, 0.0000)
Y (0.0000, 0.5000, 0.7500)
Sb (0.0000, 0.0000, 0.5000)
Sb (0.0000, 0.5000, 0.2500)
O (0.1822, 0.7540, 0.1606)
O (0.1832, 0.2537, 0.5891)

***

Record 7
The following is a calculated XRD peak list of LiTlClO. It was derived from a crystal structure in Alexandria, relaxed with PBE, using Cu Kα, 1.54184 Å.
Peak positions follow from Bragg's law for the DFT cell and can differ from measured ones.

The 12 most intense peaks (15 to 90 degrees two-theta), in order of falling intensity:
d 3.099, rel. 100.0, hkl 0 1 2
d 2.460, rel. 89.0, hkl 1 0 10
d 2.651, rel. 80.4, hkl 0 1 8
d 2.991, rel. 77.5, hkl 1 0 4
d 3.304, rel. 39.1, hkl 0 0 12
d 1.812, rel. 38.6, hkl 1 1 0
d 1.747, rel. 35.6, hkl 1 1 6
d 1.945, rel. 31.3, hkl 1 0 16
d 1.588, rel. 29.7, hkl 1 1 12
d 1.676, rel. 27.1, hkl 0 1 20
d 1.563, rel. 26.4, hkl 2 0 2
d 2.102, rel. 24.4, hkl 0 1 14

Atomic structure:
abc: 3.6230 3.6230 39.6441
angles: 90.00 90.00 120.00
Space group R-3m (No. 166, hexagonal axes)
One atom of each set of equivalent atoms:
Li (0.0000, 0.0000, 0.2403)
Tl (0.0000, 0.0000, 0.0000)
Tl (0.0000, 0.0000, 0.5000)
Cl (0.0000, 0.0000, 0.3939)
O (0.0000, 0.0000, 0.1943)

***

Record 8
The following is a calculated XRD peak list of Np2PH2. It was derived from a crystal structure in Alexandria, relaxed with PBE, using Cu Kα, 1.54184 Å.
Peak positions follow from Bragg's law for the DFT cell and can differ from measured ones.

The 12 most intense peaks (15 to 90 degrees two-theta), in order of falling intensity:
d 2.828, rel. 100.0, hkl 2 2 0
d 3.157, rel. 79.6, hkl 0 2 2
d 2.993, rel. 68.3, hkl 2 0 2
d 2.784, rel. 41.5, hkl 1 1 3
d 1.717, rel. 29.3, hkl 2 4 2
d 1.637, rel. 25.0, hkl 4 2 2
d 1.829, rel. 22.5, hkl 2 2 4
d 2.096, rel. 21.5, hkl 0 4 0
d 1.817, rel. 18.3, hkl 1 1 5
d 2.030, rel. 17.4, hkl 1 3 3
d 1.915, rel. 16.7, hkl 4 0 0
d 1.941, rel. 14.9, hkl 3 1 3

Atomic structure:
abc: 7.6591 8.3859 9.5959
angles: 90.00 90.00 90.00
Space group Fddd (No. 70, origin choice 2)
One atom of each set of equivalent atoms:
Np (0.1250, 0.1250, 0.3382)
P (0.1250, 0.1250, 0.6250)
H (0.1250, 0.0005, 0.1250)